Entry 1:
Calculated powder diffraction line list of Nd4Sm3Mg for Cu Kα X-rays, from the PBE geometry in Alexandria.
Intensities are scaled so that the largest is 100.

Top 10 peaks for 5 to 70 degrees two-theta, in order of falling intensity:
32.37 deg, intensity 100
32.17 deg, intensity 50
30.83 deg, intensity 38
28.36 deg, intensity 24
59.86 deg, intensity 22
55.81 deg, intensity 20
49.95 deg, intensity 19
42.39 deg, intensity 16
61.02 deg, intensity 16
28.14 deg, intensity 13

Crystal structure
```
data_Nd4Sm3Mg
_space_group_name_H-M_alt 'P m n 21'
_space_group_IT_number 31
_cell_length_a 11.5996
_cell_length_b 7.2480
_cell_length_c 6.3421
_cell_angle_alpha 90.00
_cell_angle_beta 90.00
_cell_angle_gamma 90.00
loop_
_space_group_symop_operation_xyz
'x,y,z'
'-x+1/2,-y,z+1/2'
'-x,y,z'
'x+1/2,-y,z+1/2'
loop_
_atom_site_label
_atom_site_type_symbol
_atom_site_fract_x
_atom_site_fract_y
_atom_site_fract_z
Nd1 Nd 0.0000 0.1189 0.0000
Nd2 Nd 0.0000 0.8702 0.5305
Nd3 Nd 0.2396 0.8680 0.1822
Sm1 Sm 0.0000 0.3737 0.5302
Sm2 Sm 0.2423 0.3783 0.1889
Mg1 Mg 0.0000 0.6159 0.0187
```

Entry 2:
Calculated powder diffraction line list of Nd5Sm2Mg for Cu Kα X-rays, from the PBE geometry in Alexandria.
Intensities are scaled so that the largest is 100.

Top 10 peaks for 5 to 70 degrees two-theta, in order of falling intensity:
30.35 deg, intensity 100
35.11 deg, intensity 34
60.07 deg, intensity 29
50.68 deg, intensity 24
35.35 deg, intensity 17
60.39 deg, intensity 14
63.15 deg, intensity 12
50.50 deg, intensity 12
15.04 deg, intensity 7
24.69 deg, intensity 3

Crystal structure
```
data_Nd5Sm2Mg
_space_group_name_H-M_alt 'I 4/m m m'
_space_group_IT_number 139
_space_group_name_Hall '-I 4 2'
_cell_length_a 7.2291
_cell_length_b 7.2291
_cell_length_c 10.1554
_cell_angle_alpha 90.00
_cell_angle_beta 90.00
_cell_angle_gamma 90.00
loop_
_atom_site_label
_atom_site_type_symbol
_atom_site_fract_x
_atom_site_fract_y
_atom_site_fract_z
Nd1 Nd 0.0000 0.0000 0.0000
Nd2 Nd 0.2500 0.2500 0.2500
Sm1 Sm 0.0000 0.5000 0.0000
Mg1 Mg 0.0000 0.0000 0.5000
```

Entry 3:
Calculated powder diffraction line list of Nd6Sm2Mg for Cu Kα X-rays, from the PBE geometry in Alexandria.
Intensities are scaled so that the largest is 100.

Top 10 peaks for 5 to 70 degrees two-theta, in order of falling intensity:
30.19 deg, intensity 100
35.12 deg, intensity 33
59.99 deg, intensity 28
50.24 deg, intensity 24
34.74 deg, intensity 17
59.48 deg, intensity 15
62.77 deg, intensity 12
50.52 deg, intensity 12
11.55 deg, intensity 4
19.04 deg, intensity 3

Crystal structure
```
data_Nd6Sm2Mg
_space_group_name_H-M_alt 'P 42/m n m'
_space_group_IT_number 136
_space_group_name_Hall '-P 4n 2n'
_cell_length_a 10.8395
_cell_length_b 10.8395
_cell_length_c 5.1644
_cell_angle_alpha 90.00
_cell_angle_beta 90.00
_cell_angle_gamma 90.00
loop_
_atom_site_label
_atom_site_type_symbol
_atom_site_fract_x
_atom_site_fract_y
_atom_site_fract_z
Nd1 Nd 0.0009 0.3317 0.0000
Nd2 Nd 0.1643 0.8357 0.5000
Sm1 Sm 0.1673 0.1673 0.5000
Mg1 Mg 0.0000 0.0000 0.0000
```

Entry 4:
Calculated powder diffraction line list of Nd3Sm5Mg for Cu Kα X-rays, from the PBE geometry in Alexandria.
Intensities are scaled so that the largest is 100.

Top 10 peaks for 5 to 70 degrees two-theta, in order of falling intensity:
29.25 deg, intensity 100
30.20 deg, intensity 55
30.76 deg, intensity 53
31.38 deg, intensity 51
27.63 deg, intensity 35
27.47 deg, intensity 28
55.81 deg, intensity 24
21.64 deg, intensity 24
33.49 deg, intensity 22
44.10 deg, intensity 21

Crystal structure
```
data_Nd3Sm5Mg
_space_group_name_H-M_alt 'C 1 2/m 1'
_space_group_IT_number 12
_cell_length_a 11.4049
_cell_length_b 8.2132
_cell_length_c 13.6838
_cell_angle_alpha 90.00
_cell_angle_beta 91.16
_cell_angle_gamma 90.00
loop_
_space_group_symop_operation_xyz
'x,y,z'
'-x,-y,-z'
'-x,y,-z'
'x,-y,z'
'x+1/2,y+1/2,z'
'-x+1/2,-y+1/2,-z'
'-x+1/2,y+1/2,-z'
'x+1/2,-y+1/2,z'
loop_
_atom_site_label
_atom_site_type_symbol
_atom_site_fract_x
_atom_site_fract_y
_atom_site_fract_z
Nd1 Nd 0.0000 0.0000 0.0000
Nd2 Nd 0.0000 0.0000 0.5000
Nd3 Nd 0.1352 0.5000 0.0088
Nd4 Nd 0.2425 0.0000 0.3817
Sm1 Sm 0.0000 0.3269 0.5000
Sm2 Sm 0.0040 0.5000 0.7554
Sm3 Sm 0.2397 0.2233 0.1652
Sm4 Sm 0.2476 0.0000 0.6253
Mg1 Mg 0.0072 0.0000 0.7531
```

Entry 5:
Calculated powder diffraction line list of Nd2Sm3Mg for Cu Kα X-rays, from the PBE geometry in Alexandria.
Intensities are scaled so that the largest is 100.

Top 10 peaks for 5 to 70 degrees two-theta, in order of falling intensity:
30.51 deg, intensity 100
35.05 deg, intensity 17
35.35 deg, intensity 17
35.74 deg, intensity 16
60.08 deg, intensity 14
60.47 deg, intensity 14
60.99 deg, intensity 14
63.51 deg, intensity 12
50.63 deg, intensity 12
50.92 deg, intensity 12

Crystal structure
```
data_Nd2Sm3Mg
_space_group_name_H-M_alt 'C m m m'
_space_group_IT_number 65
_space_group_name_Hall '-C 2 2'
_cell_length_a 5.0249
_cell_length_b 15.3601
_cell_length_c 5.0786
_cell_angle_alpha 90.00
_cell_angle_beta 90.00
_cell_angle_gamma 90.00
loop_
_atom_site_label
_atom_site_type_symbol
_atom_site_fract_x
_atom_site_fract_y
_atom_site_fract_z
Nd1 Nd 0.0000 0.1646 0.0000
Sm1 Sm 0.0000 0.0000 0.5000
Sm2 Sm 0.0000 0.3324 0.5000
Mg1 Mg 0.0000 0.5000 0.0000
```

Entry 6:
Calculated powder diffraction line list of Nd8Sm4Mg for Cu Kα X-rays, from the PBE geometry in Alexandria.
Intensities are scaled so that the largest is 100.

Top 10 peaks for 5 to 70 degrees two-theta, in order of falling intensity:
31.89 deg, intensity 100
32.19 deg, intensity 96
57.01 deg, intensity 38
45.94 deg, intensity 36
19.40 deg, intensity 34
22.51 deg, intensity 21
56.82 deg, intensity 19
57.59 deg, intensity 18
37.73 deg, intensity 15
19.64 deg, intensity 13

Crystal structure
```
data_Nd8Sm4Mg
_space_group_name_H-M_alt 'R -3 m'
_space_group_IT_number 166
_space_group_name_Hall '-R 3 2"'
_cell_length_a 11.2262
_cell_length_b 11.2262
_cell_length_c 13.5595
_cell_angle_alpha 90.00
_cell_angle_beta 90.00
_cell_angle_gamma 120.00
loop_
_atom_site_label
_atom_site_type_symbol
_atom_site_fract_x
_atom_site_fract_y
_atom_site_fract_z
Nd1 Nd 0.0000 0.0000 0.2418
Nd2 Nd 0.0058 0.5029 0.7449
Sm1 Sm 0.0000 0.0000 0.0000
Sm2 Sm 0.0000 0.5000 0.0000
Mg1 Mg 0.0000 0.0000 0.5000
```

Entry 7:
Calculated powder diffraction line list of Nd8Sm3Mg2 for Cu Kα X-rays, from the PBE geometry in Alexandria.
Intensities are scaled so that the largest is 100.

Top 10 peaks for 5 to 70 degrees two-theta, in order of falling intensity:
31.57 deg, intensity 100
31.08 deg, intensity 39
31.33 deg, intensity 27
30.14 deg, intensity 26
29.59 deg, intensity 15
30.54 deg, intensity 15
59.73 deg, intensity 14
28.31 deg, intensity 12
46.46 deg, intensity 10
55.54 deg, intensity 10

Crystal structure
```
data_Nd8Sm3Mg2
_space_group_name_H-M_alt 'P -1'
_space_group_IT_number 2
_cell_length_a 6.8018
_cell_length_b 8.7015
_cell_length_c 8.8194
_cell_angle_alpha 64.26
_cell_angle_beta 67.46
_cell_angle_gamma 77.64
loop_
_space_group_symop_operation_xyz
'x,y,z'
'-x,-y,-z'
loop_
_atom_site_label
_atom_site_type_symbol
_atom_site_fract_x
_atom_site_fract_y
_atom_site_fract_z
Nd1 Nd 0.0878 0.0157 0.2918
Nd2 Nd 0.1479 0.2152 0.8243
Nd3 Nd 0.1809 0.3894 0.3410
Nd4 Nd 0.2395 0.5899 0.8517
Sm1 Sm 0.4335 0.8134 0.9960
Sm2 Sm 0.5000 0.0000 0.5000
Mg1 Mg 0.3659 0.6576 0.4358
```

Entry 8:
Calculated powder diffraction line list of Nd3SmMg for Cu Kα X-rays, from the PBE geometry in Alexandria.
Intensities are scaled so that the largest is 100.

Top 10 peaks for 5 to 70 degrees two-theta, in order of falling intensity:
31.68 deg, intensity 100
32.15 deg, intensity 96
30.89 deg, intensity 59
29.78 deg, intensity 50
58.16 deg, intensity 19
55.12 deg, intensity 18
47.98 deg, intensity 18
56.04 deg, intensity 16
33.21 deg, intensity 16
57.50 deg, intensity 15

Crystal structure
```
data_Nd3SmMg
_space_group_name_H-M_alt 'P -1'
_space_group_IT_number 2
_cell_length_a 3.7923
_cell_length_b 6.8748
_cell_length_c 13.1571
_cell_angle_alpha 92.60
_cell_angle_beta 90.01
_cell_angle_gamma 106.00
loop_
_space_group_symop_operation_xyz
'x,y,z'
'-x,-y,-z'
loop_
_atom_site_label
_atom_site_type_symbol
_atom_site_fract_x
_atom_site_fract_y
_atom_site_fract_z
Nd1 Nd 0.0413 0.0817 0.1888
Nd2 Nd 0.1489 0.2978 0.4424
Nd3 Nd 0.3653 0.7312 0.0279
Sm1 Sm 0.2274 0.4556 0.7543
Mg1 Mg 0.4438 0.8857 0.3739
```

Entry 9:
Calculated powder diffraction line list of Nd2Sm2Mg3 for Cu Kα X-rays, from the PBE geometry in Alexandria.
Intensities are scaled so that the largest is 100.

Top 10 peaks for 5 to 70 degrees two-theta, in order of falling intensity:
31.74 deg, intensity 100
32.99 deg, intensity 81
23.40 deg, intensity 74
34.56 deg, intensity 69
39.81 deg, intensity 62
22.92 deg, intensity 51
25.07 deg, intensity 45
59.39 deg, intensity 37
58.57 deg, intensity 35
59.09 deg, intensity 29

Crystal structure
```
data_Nd2Sm2Mg3
_space_group_name_H-M_alt 'C m m m'
_space_group_IT_number 65
_space_group_name_Hall '-C 2 2'
_cell_length_a 3.9172
_cell_length_b 28.4218
_cell_length_c 3.8013
_cell_angle_alpha 90.00
_cell_angle_beta 90.00
_cell_angle_gamma 90.00
loop_
_atom_site_label
_atom_site_type_symbol
_atom_site_fract_x
_atom_site_fract_y
_atom_site_fract_z
Nd1 Nd 0.0000 0.0694 0.0000
Sm1 Sm 0.0000 0.2012 0.0000
Mg1 Mg 0.0000 0.3640 0.5000
Mg2 Mg 0.0000 0.5000 0.5000
```

Entry 10:
Calculated powder diffraction line list of NdSm2YMg for Cu Kα X-rays, from the PBE geometry in Alexandria.
Intensities are scaled so that the largest is 100.

Top 10 peaks for 5 to 70 degrees two-theta, in order of falling intensity:
30.63 deg, intensity 100
29.69 deg, intensity 36
31.25 deg, intensity 32
53.27 deg, intensity 21
24.68 deg, intensity 16
28.85 deg, intensity 16
61.65 deg, intensity 15
40.91 deg, intensity 14
38.97 deg, intensity 14
34.42 deg, intensity 12

Crystal structure
```
data_NdSm2YMg
_space_group_name_H-M_alt 'P m m a'
_space_group_IT_number 51
_cell_length_a 6.0188
_cell_length_b 7.5285
_cell_length_c 7.2159
_cell_angle_alpha 90.00
_cell_angle_beta 90.00
_cell_angle_gamma 90.00
loop_
_space_group_symop_operation_xyz
'x,y,z'
'-x,-y,-z'
'-x+1/2,-y,z'
'x+1/2,y,-z'
'x+1/2,-y,-z'
'-x+1/2,y,z'
'-x,y,-z'
'x,-y,z'
loop_
_atom_site_label
_atom_site_type_symbol
_atom_site_fract_x
_atom_site_fract_y
_atom_site_fract_z
Nd1 Nd 0.2500 0.0000 0.1657
Sm1 Sm 0.2500 0.2159 0.6931
Y1 Y 0.2500 0.5000 0.3748
Mg1 Mg 0.0000 0.5000 0.0000
```

Entry 11:
Calculated powder diffraction line list of NdSm2Y2Mg for Cu Kα X-rays, from the PBE geometry in Alexandria.
Intensities are scaled so that the largest is 100.

Top 10 peaks for 5 to 70 degrees two-theta, in order of falling intensity:
30.11 deg, intensity 100
18.43 deg, intensity 66
11.22 deg, intensity 59
34.63 deg, intensity 56
30.91 deg, intensity 52
36.45 deg, intensity 46
37.36 deg, intensity 31
37.74 deg, intensity 25
52.93 deg, intensity 20
31.26 deg, intensity 17

Crystal structure
```
data_NdSm2Y2Mg
_space_group_name_H-M_alt 'P n n m'
_space_group_IT_number 58
_cell_length_a 10.5278
_cell_length_b 11.8943
_cell_length_c 3.6198
_cell_angle_alpha 90.00
_cell_angle_beta 90.00
_cell_angle_gamma 90.00
loop_
_space_group_symop_operation_xyz
'x,y,z'
'-x,-y,-z'
'-x,-y,z'
'x,y,-z'
'x+1/2,-y+1/2,-z+1/2'
'-x+1/2,y+1/2,z+1/2'
'-x+1/2,y+1/2,-z+1/2'
'x+1/2,-y+1/2,z+1/2'
loop_
_atom_site_label
_atom_site_type_symbol
_atom_site_fract_x
_atom_site_fract_y
_atom_site_fract_z
Nd1 Nd 0.0000 0.0000 0.0000
Sm1 Sm 0.0852 0.2280 0.5000
Y1 Y 0.2436 0.4337 0.0000
Mg1 Mg 0.0000 0.5000 0.5000
```

Entry 12:
Calculated powder diffraction line list of Nd2SmY4Mg for Cu Kα X-rays, from the PBE geometry in Alexandria.
Intensities are scaled so that the largest is 100.

Top 10 peaks for 5 to 70 degrees two-theta, in order of falling intensity:
30.65 deg, intensity 100
35.79 deg, intensity 33
61.14 deg, intensity 27
50.95 deg, intensity 24
35.04 deg, intensity 17
60.14 deg, intensity 14
51.51 deg, intensity 12
63.82 deg, intensity 12
8.63 deg, intensity 9
19.70 deg, intensity 6

Crystal structure
```
data_Nd2SmY4Mg
_space_group_name_H-M_alt 'P 4/m m m'
_space_group_IT_number 123
_space_group_name_Hall '-P 4 2'
_cell_length_a 5.0180
_cell_length_b 5.0180
_cell_length_c 10.2440
_cell_angle_alpha 90.00
_cell_angle_beta 90.00
_cell_angle_gamma 90.00
loop_
_atom_site_label
_atom_site_type_symbol
_atom_site_fract_x
_atom_site_fract_y
_atom_site_fract_z
Nd1 Nd 0.0000 0.0000 0.0000
Nd2 Nd 0.5000 0.5000 0.5000
Sm1 Sm 0.0000 0.0000 0.5000
Y1 Y 0.0000 0.5000 0.2468
Mg1 Mg 0.5000 0.5000 0.0000
```

Entry 13:
Calculated powder diffraction line list of Nd3MgSn3 for Cu Kα X-rays, from the PBE geometry in Alexandria.
Intensities are scaled so that the largest is 100.

Top 10 peaks for 5 to 70 degrees two-theta, in order of falling intensity:
33.33 deg, intensity 100
33.50 deg, intensity 73
29.31 deg, intensity 45
37.07 deg, intensity 37
28.70 deg, intensity 26
25.01 deg, intensity 25
34.22 deg, intensity 23
51.37 deg, intensity 18
34.07 deg, intensity 17
39.61 deg, intensity 16

Crystal structure
```
data_Nd3MgSn3
_space_group_name_H-M_alt 'C 1 2/m 1'
_space_group_IT_number 12
_cell_length_a 8.1569
_cell_length_b 10.4816
_cell_length_c 9.7018
_cell_angle_alpha 90.00
_cell_angle_beta 90.41
_cell_angle_gamma 90.00
loop_
_space_group_symop_operation_xyz
'x,y,z'
'-x,-y,-z'
'-x,y,-z'
'x,-y,z'
'x+1/2,y+1/2,z'
'-x+1/2,-y+1/2,-z'
'-x+1/2,y+1/2,-z'
'x+1/2,-y+1/2,z'
loop_
_atom_site_label
_atom_site_type_symbol
_atom_site_fract_x
_atom_site_fract_y
_atom_site_fract_z
Nd1 Nd 0.0000 0.1901 0.0000
Nd2 Nd 0.0000 0.2166 0.5000
Nd3 Nd 0.1039 0.5000 0.7959
Mg1 Mg 0.1972 0.5000 0.4618
Sn1 Sn 0.0024 0.0000 0.2621
Sn2 Sn 0.2303 0.2943 0.2425
```